For Li4TiCo3O8, a PBE+U-relaxed structure gives the simulated X-ray diffraction stick pattern in this record (Cu Kα).
Lines closer than 0.1° are merged.

Crystal structure
```
data_Li4TiCo3O8
_cell_length_a 5.812
_cell_length_b 5.850
_cell_length_c 10.216
_cell_angle_alpha 89.79
_cell_angle_beta 73.91
_cell_angle_gamma 60.31
_symmetry_space_group_name_H-M 'P -1'
_symmetry_Int_Tables_number 2
loop_
_symmetry_equiv_pos_as_xyz
'x,y,z'
'-x,-y,-z'
loop_
_atom_site_label
_atom_site_type_symbol
_atom_site_fract_x
_atom_site_fract_y
_atom_site_fract_z
Li1 Li 0.000 0.247 0.248
Li2 Li 0.010 0.740 0.249
Li3 Li 0.486 0.268 0.754
Li4 Li 0.495 0.749 0.752
Ti1 Ti 0.500 0.000 0.000
Ti2 Ti 0.500 0.500 0.500
Co1 Co 0.000 0.000 0.000
Co2 Co 0.000 0.000 0.500
Co3 Co 0.000 0.500 0.000
Co4 Co 0.000 0.500 0.500
Co5 Co 0.500 0.000 0.500
Co6 Co 0.500 0.500 0.000
O1 O 0.237 0.401 0.618
O2 O 0.242 0.643 0.893
O3 O 0.244 0.146 0.394
O4 O 0.249 0.114 0.885
O5 O 0.260 0.866 0.111
O6 O 0.271 0.622 0.378
O7 O 0.277 0.360 0.113
O8 O 0.277 0.869 0.612
```

Largest 10 diffraction maxima, in order of falling intensity, 5° ≤ 2θ ≤ 70°:
d/Å	2θ (°)	Rel. int.	h k l
4.844	18.31	100	0 0 2
2.483	36.18	27	2 2 0
2.095	43.19	26	0 2 2
2.072	43.69	25	2 2 -2
2.060	43.95	25	2 0 4
2.508	35.80	14	0 2 0
1.463	63.58	14	2 4 0
1.902	47.81	9	0 2 -4
2.392	37.61	9	2 0 0
1.484	62.60	7	2 0 -4